The following is a calculated powder X-ray diffraction pattern of Zr2NiP2. It was derived from the PBE geometry in the Materials Project, using copper Kα.

Peak list (12 most intense, 2θ from 15° to 90°, by intensity)
34.2°, intensity 1000
38.9°, intensity 684
48.2°, intensity 630
28.1°, intensity 339
77.0°, intensity 205
60.4°, intensity 182
80.8°, intensity 156
63.6°, intensity 150
56.6°, intensity 145
65.3°, intensity 140
83.6°, intensity 135
41.3°, intensity 97

Structure:
a b c (Å): 3.7766 3.7766 13.1289
angles (deg): 90.00 90.00 120.00
Fractional coordinates of all 10 atoms:
Zr (0.3333, 0.6667, 0.1096)
Zr (0.3333, 0.6667, 0.3904)
Zr (0.6667, 0.3333, 0.6096)
Zr (0.6667, 0.3333, 0.8904)
Ni (0.0000, 0.0000, 0.2500)
Ni (0.0000, 0.0000, 0.7500)
P (0.0000, 0.0000, 0.0000)
P (0.0000, 0.0000, 0.5000)
P (0.3333, 0.6667, 0.7500)
P (0.6667, 0.3333, 0.2500)